No. 1
Computed XRD peak list of Li5Cd2Hg4 for a wavelength of 1.5418 Å, from DFT lattice parameters and positions (PBE).
Neutral-atom scattering factors, no anomalous dispersion.

Largest 6 diffraction maxima, in order of rising 2θ, 10 to 80 degrees two-theta:
(hkl)  2θ/deg  intensity
1 4 0  23.6  531
0 0 1  27.1  1000
1 4 1  36.2  419
1 7 0  38.0  949
2 3 1  39.8  470
3 2 1  47.2  598

Atomic structure:
Cell: 7.382 17.526 3.295 Å, 90.00 90.00 90.00°
Space group Pbam (No. 55)
Unique sites:
Li (0.000, 0.000, 0.000) [2 per cell]
Li (0.115, 0.427, 0.000) [4 per cell]
Li (0.206, 0.180, 0.000) [4 per cell]
Cd (0.028, 0.295, 0.500) [4 per cell]
Hg (0.099, 0.867, 0.500) [4 per cell]
Hg (0.200, 0.554, 0.500) [4 per cell]

No. 2
Computed XRD peak list of Mg2AgHg2Pd5 for a wavelength of 1.5418 Å, from DFT lattice parameters and positions (PBE).
Neutral-atom scattering factors, no anomalous dispersion.

Largest 6 diffraction maxima, in order of rising 2θ, 10 to 80 degrees two-theta:
(hkl)  2θ/deg  intensity
2 1 1  31.0  543
3 1 1  37.7  1000
4 1 0  39.2  319
4 2 0  42.6  171
0 0 2  46.0  212
4 1 2  62.0  176

Atomic structure:
Cell: 9.481 9.481 3.945 Å, 90.00 90.00 90.00°
Space group P4/mbm (No. 127)
Unique sites:
Mg (0.131, 0.369, 0.000) [4 per cell]
Ag (0.000, 0.000, 0.000) [2 per cell]
Hg (0.166, 0.666, 0.000) [4 per cell]
Pd (0.000, 0.500, 0.500) [2 per cell]
Pd (0.099, 0.187, 0.500) [8 per cell]